# La3CeBi4
Calculated powder diffraction line list, a wavelength of 1.5418 Å. Input: a crystal structure in Alexandria, relaxed with GGA-PBE.

Structure:
```
La3CeBi4
1.0
8.110 0.000 0.000
0.000 9.369 0.000
-2.703 0.000 7.645
La Ce Bi
6 2 8
Cartesian
-0.676 1.171 1.911
-2.027 3.513 5.734
-0.676 5.856 1.911
-2.027 8.198 5.734
2.028 1.172 5.734
3.379 8.197 1.911
3.379 3.513 1.911
2.028 5.856 5.734
2.036 1.196 0.021
0.685 8.173 3.844
0.718 3.538 3.819
-0.633 5.831 7.642
6.040 3.538 0.003
4.688 5.831 3.826
4.722 1.196 3.801
3.371 8.173 7.624
```

Largest 8 diffraction maxima, sorted by position, 10° ≤ 2θ ≤ 90°:
hkl 1 2 1, 2θ = 26.9°, d 3.311, I 100
hkl 2 0 2, 2θ = 38.4°, d 2.341, I 79
hkl 0 0 4, 2θ = 47.6°, d 1.912, I 29
hkl 2 4 2, 2θ = 55.5°, d 1.656, I 14
hkl 3 2 3, 2θ = 62.7°, d 1.481, I 38
hkl 1 2 5, 2θ = 69.5°, d 1.352, I 28
hkl 2 4 -6, 2θ = 82.4°, d 1.171, I 9
hkl 2 0 6, 2θ = 88.6°, d 1.104, I 20